No. 1
The following is a theoretical powder diffractogram of Mg6CrSi. It was derived from a structure optimized by DFT (GGA-PBE), using Cu Ka.
Intensities are scaled so that the largest is 100.

Crystal structure
```
data_Mg6CrSi
_chemical_formula_sum 'Mg12 Cr2 Si2'
_cell_length_a 4.8352
_cell_length_b 6.2152
_cell_length_c 10.6180
_cell_angle_alpha 90.00
_cell_angle_beta 90.00
_cell_angle_gamma 90.00
_space_group_name_H-M_alt 'A m m 2'
_space_group_IT_number 38
_space_group_name_Hall 'A 2 -2'
loop_
_atom_site_label
_atom_site_type_symbol
_atom_site_fract_x
_atom_site_fract_y
_atom_site_fract_z
Mg1 Mg 0.0000 0.0000 0.0000
Mg2 Mg 0.0000 0.2430 0.2556
Mg3 Mg 0.5000 0.0000 0.8329
Mg4 Mg 0.5000 0.2444 0.5820
Cr1 Cr 0.5000 0.0000 0.3445
Si1 Si 0.0000 0.0000 0.4897
```

Largest 6 diffraction maxima, low angle first, 10 to 80 degrees two-theta:
two_theta	Rel. int.
33.41	29
37.19	38
38.38	100
38.70	52
67.84	17
72.90	17

=====

No. 2
The following is a theoretical powder diffractogram of Sr5Nb5O17. It was derived from a structure optimized by DFT (GGA-PBE), using Cu Ka.
Intensities are scaled so that the largest is 100.

Crystal structure
```
data_Sr5Nb5O17
_chemical_formula_sum 'Sr10 Nb10 O34'
_cell_length_a 5.7670
_cell_length_b 33.1239
_cell_length_c 4.0495
_cell_angle_alpha 90.00
_cell_angle_beta 90.00
_cell_angle_gamma 90.00
_space_group_name_H-M_alt 'P n n 2'
_space_group_IT_number 34
_space_group_name_Hall 'P 2 -2n'
loop_
_atom_site_label
_atom_site_type_symbol
_atom_site_fract_x
_atom_site_fract_y
_atom_site_fract_z
Sr1 Sr 0.0000 0.0000 0.0000
Sr2 Sr 0.0016 0.4106 0.4897
Sr3 Sr 0.0651 0.2159 0.9893
Nb1 Nb 0.0000 0.5000 0.9905
Nb2 Nb 0.0063 0.0903 0.4934
Nb3 Nb 0.0351 0.3232 0.9955
O1 O 0.0000 0.5000 0.4939
O2 O 0.0027 0.3312 0.4953
O3 O 0.0118 0.9172 0.9962
O4 O 0.1833 0.7202 0.9897
O5 O 0.2010 0.7911 0.4912
O6 O 0.2056 0.3796 0.9891
O7 O 0.2226 0.1324 0.5093
O8 O 0.2252 0.9632 0.5020
O9 O 0.2275 0.5478 0.9870
```

Largest 6 diffraction maxima, low angle first, 10 to 80 degrees two-theta:
two_theta	Rel. int.
26.92	45
29.02	81
31.01	44
31.49	100
44.76	38
55.46	42